For Cd2Ag6Bi, a cell relaxed with PBE gives the simulated PXRD pattern in this record (Cu Kα (λ = 1.5418 Å)).

Peak list (8 most intense, 2θ from 10° to 80°, low angle first)
d = 2.731 Å, 32.79°, intensity 28.7; d = 2.655 Å, 33.76°, intensity 32.8; d = 2.450 Å, 36.69°, intensity 33.7; d = 2.435 Å, 36.92°, intensity 49.7; d = 2.421 Å, 37.13°, intensity 28.3; d = 2.382 Å, 37.77°, intensity 100.0; d = 2.316 Å, 38.88°, intensity 25.7; d = 2.225 Å, 40.54°, intensity 20.4

```
data_Cd2Ag6Bi
_cell_length_a 14.8138
_cell_length_b 8.1929
_cell_length_c 3.0990
_cell_angle_alpha 90.00
_cell_angle_beta 99.54
_cell_angle_gamma 90.00
_symmetry_space_group_name_H-M 'C 1 2/m 1'
_symmetry_Int_Tables_number 12
_symmetry_space_group_name_Hall '-C 2y'
loop_
_atom_site_label
_atom_site_type_symbol
_atom_site_fract_x
_atom_site_fract_y
_atom_site_fract_z
_atom_site_occupancy
Cd1 Cd 0.1508 0.0000 0.1288 1
Ag1 Ag 0.0000 0.1686 0.5000 1
Ag2 Ag 0.1755 0.3214 0.6787 1
Bi1 Bi 0.0000 0.5000 0.0000 1
```


For PuAl4Zn4, a cell relaxed with PBE gives the simulated PXRD pattern in this record (Cu Kα (λ = 1.5418 Å)).

Peak list (8 most intense, 2θ from 10° to 80°, low angle first)
d = 5.845 Å, 15.16°, intensity 53.9; d = 4.143 Å, 21.45°, intensity 25.0; d = 2.928 Å, 30.53°, intensity 100.0; d = 2.614 Å, 34.31°, intensity 31.7; d = 2.400 Å, 37.47°, intensity 28.1; d = 2.390 Å, 37.64°, intensity 57.8; d = 2.069 Å, 43.76°, intensity 35.0; d = 1.849 Å, 49.29°, intensity 23.3

```
data_PuAl4Zn4
_cell_length_a 8.2662
_cell_length_b 8.2662
_cell_length_c 4.7998
_cell_angle_alpha 90.00
_cell_angle_beta 90.00
_cell_angle_gamma 90.00
_symmetry_space_group_name_H-M 'I 4/m'
_symmetry_Int_Tables_number 87
_symmetry_space_group_name_Hall '-I 4'
loop_
_atom_site_label
_atom_site_type_symbol
_atom_site_fract_x
_atom_site_fract_y
_atom_site_fract_z
_atom_site_occupancy
Pu1 Pu 0.0000 0.0000 0.0000 1
Al1 Al 0.0755 0.3613 0.0000 1
Zn1 Zn 0.1177 0.2194 0.5000 1
```


For KSb6Au12, a cell relaxed with PBE gives the simulated PXRD pattern in this record (Cu Kα (λ = 1.5418 Å)).

Peak list (8 most intense, 2θ from 10° to 80°, low angle first)
d = 6.231 Å, 14.21°, intensity 38.9; d = 2.914 Å, 30.68°, intensity 100.0; d = 2.870 Å, 31.17°, intensity 59.3; d = 2.514 Å, 35.72°, intensity 38.3; d = 2.286 Å, 39.42°, intensity 73.1; d = 2.264 Å, 39.81°, intensity 75.1; d = 2.077 Å, 43.58°, intensity 57.5; d = 2.045 Å, 44.30°, intensity 41.9

```
data_KSb6Au12
_cell_length_a 14.7437
_cell_length_b 14.7437
_cell_length_c 7.1389
_cell_angle_alpha 90.00
_cell_angle_beta 90.00
_cell_angle_gamma 120.00
_symmetry_space_group_name_H-M 'R -3'
_symmetry_Int_Tables_number 148
_symmetry_space_group_name_Hall '-R 3'
loop_
_atom_site_label
_atom_site_type_symbol
_atom_site_fract_x
_atom_site_fract_y
_atom_site_fract_z
_atom_site_occupancy
K1 K 0.0000 0.0000 0.0000 1
Sb1 Sb 0.0365 0.2369 0.2039 1
Au1 Au 0.0421 0.6193 0.8141 1
Au2 Au 0.0602 0.1665 0.6249 1
```